Zn2GaCuSe4: theoretical PXRD pattern (CuKα), based on a GGA-PBE-relaxed structure.
Kinematic intensities with the Lorentz-polarization factor, no thermal factor.

Main lines, sorted by position (10 to 80 degrees two-theta):
| h k l | 2theta | I_rel |
| --- | --- | --- |
| 1 0 4 | 26.8 | 100 |
| 0 0 12 | 27.1 | 32 |
| 1 1 0 | 44.4 | 50 |
| 1 0 16 | 44.8 | 46 |
| 0 2 4 | 52.6 | 15 |
| 1 1 12 | 52.8 | 29 |
| 0 1 20 | 53.1 | 13 |
| 0 2 16 | 64.9 | 15 |

a = 4.0785 Å, b = 4.0785 Å, c = 39.5296 Å
α = 90.00°, β = 90.00°, γ = 120.00°
Space group R3m (No. 160, hexagonal axes)
Unique sites:
Zn 0.0000 0.0000 0.0000
Zn 0.0000 0.0000 0.2489
Ga 0.0000 0.0000 0.4973
Cu 0.0000 0.0000 0.7426
Se 0.0000 0.0000 0.0619
Se 0.0000 0.0000 0.3101
Se 0.0000 0.0000 0.5600
Se 0.0000 0.0000 0.8078